No. 1
The following is a computed XRD peak list of MgIn5. It was derived from a crystal structure in the Materials Project, relaxed with GGA-PBE, using Cu Ka.

abc: 6.0217 6.0217 5.0772
angles: 90.00 90.00 120.00
Space group P-62m (No. 189)
Inequivalent atoms, fractional coordinates:
Mg1 0.0000 0.0000 0.0000
In1 0.0000 0.6724 0.5000
In2 0.3333 0.6667 0.0000

Most intense lines, 10° ≤ 2θ ≤ 90°, in order of falling intensity:
two_theta	intensity	index
34.6	100	1 1 1
29.7	27	1 1 0
35.4	21	0 0 2
65.0	20	3 0 2
52.7	19	3 0 0
63.0	17	1 1 3
64.6	15	2 2 1
46.8	15	1 1 2
87.9	13	4 1 1
24.5	8	1 0 1


No. 2
The following is a computed XRD peak list of MgIn2. It was derived from a crystal structure in the Materials Project, relaxed with GGA-PBE, using Cu Ka.

abc: 5.7241 5.7241 15.9472
angles: 90.00 90.00 120.00
Space group R32 (No. 155, hexagonal axes)
Inequivalent atoms, fractional coordinates:
Mg1 0.0000 0.0000 0.1679
In1 0.0000 0.0000 0.5000
In2 0.0000 0.6680 0.0000

Most intense lines, 10° ≤ 2θ ≤ 90°, in order of falling intensity:
two_theta	intensity	index
35.6	100	1 1 3
31.3	31	1 1 0
33.7	25	0 0 6
46.6	20	1 1 6
66.6	19	3 0 6
61.6	19	1 1 9
55.6	17	3 0 0
16.7	17	0 0 3
67.8	14	2 2 3
18.7	9	1 0 1


No. 3
The following is a computed XRD peak list of MgIn5. It was derived from a crystal structure in the Materials Project, relaxed with GGA-PBE, using Cu Ka.

abc: 5.510 3.296 17.871
angles: 90.00 90.00 90.00
Space group Amm2 (No. 38)
Inequivalent atoms, fractional coordinates:
Mg1 0.000 0.000 0.000
In1 0.000 0.000 0.336
In2 0.000 0.000 0.663
In3 0.500 0.000 0.222
In4 0.500 0.000 0.553
In5 0.500 0.000 0.890

Most intense lines, 10° ≤ 2θ ≤ 90°, in order of falling intensity:
two_theta	intensity	index
35.1	100	1 1 3
34.2	53	1 0 6
32.5	41	2 0 0
31.0	25	0 1 3
64.4	21	2 1 9
59.7	21	3 1 3
53.9	20	0 1 9
45.5	17	2 1 3
67.1	14	1 2 6
30.0	13	0 0 6


No. 4
The following is a computed XRD peak list of Mg2In. It was derived from a crystal structure in the Materials Project, relaxed with GGA-PBE, using Cu Ka.

abc: 8.4101 8.4101 3.4316
angles: 90.00 90.00 120.00
Space group P-62m (No. 189)
Inequivalent atoms, fractional coordinates:
Mg1 0.0000 0.3710 0.0000
Mg2 0.0000 0.7091 0.5000
In1 0.0000 0.0000 0.0000
In2 0.3333 0.6667 0.5000

Most intense lines, 10° ≤ 2θ ≤ 90°, in order of falling intensity:
two_theta	intensity	index
21.1	100	1 1 0
37.0	71	3 0 0
28.8	55	1 0 1
42.1	52	2 1 1
36.0	51	2 0 1
66.8	33	3 0 2
58.0	28	4 1 0
33.7	24	1 1 1
61.7	24	3 2 1
43.0	17	2 2 0